Diffraction record for K2AlMo3P8O28. The powder diffractogram is calculated, not measured: it uses a cell relaxed with PBE+U and Cu Kα X-rays.

Peak list (10 most intense, 2θ from 15° to 90°, in order of rising 2θ)
- (1 1 -1), 16.41°, I = 100
- (-1 1 1), 16.74°, I = 40
- (1 -1 1), 18.65°, I = 24
- (1 -2 1), 22.11°, I = 55
- (0 2 -2), 22.86°, I = 31
- (1 2 -1), 24.88°, I = 37
- (2 -1 0), 25.10°, I = 43
- (0 1 2), 28.82°, I = 89
- (0 3 -2), 30.01°, I = 48
- (-2 2 2), 33.85°, I = 25

Atomic structure:
```
K2AlMo3P8O28
1.0
7.6946 0.0000 0.0000
-1.6464 9.2148 0.0000
-3.7543 -4.1065 8.0447
K Al Mo P O
2 1 3 8 28
Cartesian
0.0000 0.0000 0.0000
1.9702 -2.0533 4.0223
-1.8771 -2.0533 4.0223
0.1853 3.5670 1.9828
3.8473 0.0000 0.0000
2.1086 1.5412 6.0619
-3.3255 4.1927 5.4196
-3.0244 -0.6821 6.6975
-0.4195 3.7376 5.2674
-0.1811 -1.0885 6.5113
2.4750 6.1967 1.5334
2.7134 1.3706 2.7772
5.3182 5.7903 1.3471
5.6194 0.9156 2.6251
-1.9660 -0.2039 3.6249
-1.6178 4.4948 1.5952
-2.3126 6.8272 2.4746
0.3284 2.7944 0.0060
-0.8869 1.8495 2.6388
-1.9852 3.3310 5.1324
-3.1484 4.7340 6.8759
-0.3906 -1.7335 5.1409
-1.4778 -0.1912 6.8331
1.2428 5.3247 1.4714
0.0436 4.3393 3.9356
2.5917 0.2803 1.6888
-0.1100 -2.1390 7.6421
2.0075 2.6681 2.4293
0.2864 2.4401 5.6154
2.4039 7.2472 0.4025
-0.2978 4.8279 6.3559
2.2502 0.7689 4.1090
1.0511 -0.2165 6.5733
3.7716 5.2994 1.2115
2.6844 6.8417 2.9038
5.4422 0.3742 1.1688
4.2791 1.7772 2.9122
3.1808 3.2588 5.4059
1.9655 2.3138 8.0387
4.6065 -1.7190 5.5700
3.9117 0.6135 6.4494
4.2599 5.3121 4.4197
```